Sr3Ca5Fe4Co4O24: theoretical X-ray powder pattern (a wavelength of 1.5418 Å), based on a cell relaxed with PBE+U.

Crystal structure
```
data_Sr3Ca5Fe4Co4O24
_cell_length_a 7.683
_cell_length_b 7.683
_cell_length_c 7.666
_cell_angle_alpha 90.01
_cell_angle_beta 90.01
_cell_angle_gamma 89.97
_symmetry_space_group_name_H-M 'P 1'
_symmetry_Int_Tables_number 1
loop_
_symmetry_equiv_pos_as_xyz
'x,y,z'
loop_
_atom_site_label
_atom_site_type_symbol
_atom_site_fract_x
_atom_site_fract_y
_atom_site_fract_z
Sr1 Sr 0.000 0.000 0.000
Sr2 Sr 0.000 0.499 0.000
Sr3 Sr 0.499 0.000 0.000
Ca1 Ca 0.500 0.500 0.000
Ca2 Ca 0.500 0.500 0.498
Ca3 Ca 0.500 0.999 0.498
Ca4 Ca 0.999 0.500 0.498
Ca5 Ca 0.999 0.999 0.498
Fe1 Fe 0.250 0.749 0.747
Fe2 Fe 0.749 0.250 0.747
Fe3 Fe 0.749 0.749 0.250
Fe4 Fe 0.749 0.749 0.747
Co1 Co 0.250 0.250 0.251
Co2 Co 0.250 0.250 0.746
Co3 Co 0.250 0.749 0.251
Co4 Co 0.749 0.250 0.251
O1 O 0.002 0.749 0.255
O2 O 0.006 0.250 0.743
O3 O 0.250 0.006 0.743
O4 O 0.250 0.250 0.490
O5 O 0.250 0.749 0.496
O6 O 0.250 0.989 0.254
O7 O 0.252 0.493 0.745
O8 O 0.252 0.510 0.253
O9 O 0.253 0.253 0.008
O10 O 0.253 0.747 0.001
O11 O 0.493 0.252 0.745
O12 O 0.498 0.747 0.253
O13 O 0.501 0.747 0.745
O14 O 0.510 0.252 0.253
O15 O 0.747 0.253 0.001
O16 O 0.747 0.498 0.253
O17 O 0.747 0.501 0.745
O18 O 0.747 0.747 0.997
O19 O 0.749 0.002 0.255
O20 O 0.749 0.250 0.496
O21 O 0.749 0.749 0.501
O22 O 0.749 0.999 0.743
O23 O 0.989 0.250 0.254
O24 O 0.999 0.749 0.743
```

Largest 12 diffraction maxima, low angle first, 2θ from 5° to 70°:
2theta  I (rel.)
11.5  5
16.3  1
23.2  4
25.9  4
33.0  100
35.1  3
40.7  7
47.3  30
47.4  15
58.9  36
69.2  8
69.3  16